[1]
Calculated powder diffraction line list
Compound: Ba2Ca3Tl2Fe4O12
Radiation: Cu Kα X-rays
Structure: a DFT-relaxed cell (PBE+U, the Materials Project)
Intensities are scaled so that the largest is 100.

Structure:
```
data_Ba2Ca3Tl2Fe4O12
_chemical_formula_sum 'Ba4 Ca6 Tl4 Fe8 O24'
_symmetry_space_group_name_H-M 'I 4/m m m'
_symmetry_Int_Tables_number 139
_symmetry_space_group_name_Hall '-I 4 2'
_cell_length_a 3.993
_cell_length_b 3.993
_cell_length_c 42.569
_cell_angle_alpha 90.00
_cell_angle_beta 90.00
_cell_angle_gamma 90.00
loop_
_atom_site_label
_atom_site_type_symbol
_atom_site_fract_x
_atom_site_fract_y
_atom_site_fract_z
Ba1 Ba 0.000 0.000 0.160
Ca1 Ca 0.000 0.000 0.000
Ca2 Ca 0.000 0.000 0.075
Tl1 Tl 0.000 0.000 0.277
Fe1 Fe 0.000 0.000 0.389
Fe2 Fe 0.000 0.000 0.460
O1 O 0.000 0.000 0.226
O2 O 0.000 0.000 0.326
O3 O 0.000 0.500 0.036
O4 O 0.000 0.500 0.110
```

Largest 8 diffraction maxima, in order of rising 2θ, 10° ≤ 2θ ≤ 80°:
2θ/deg	Rel. int.
26.71	77.5
29.27	100.0
31.69	99.3
31.97	33.0
32.21	52.0
45.43	57.3
50.33	28.2
54.96	36.3

[2]
Calculated powder diffraction line list
Compound: BaCaFeWO6
Radiation: Cu Kα X-rays
Structure: a DFT-relaxed cell (PBE+U, the Materials Project)
Intensities are scaled so that the largest is 100.

Structure:
```
data_BaCaFeWO6
_chemical_formula_sum 'Ba4 Ca4 Fe4 W4 O24'
_symmetry_space_group_name_H-M 'F -4 3 m'
_symmetry_Int_Tables_number 216
_symmetry_space_group_name_Hall 'F -4 2 3'
_cell_length_a 8.084
_cell_length_b 8.084
_cell_length_c 8.084
_cell_angle_alpha 90.00
_cell_angle_beta 90.00
_cell_angle_gamma 90.00
loop_
_atom_site_label
_atom_site_type_symbol
_atom_site_fract_x
_atom_site_fract_y
_atom_site_fract_z
Ba1 Ba 0.000 0.000 0.000
Ca1 Ca 0.000 0.000 0.500
Fe1 Fe 0.250 0.250 0.750
W1 W 0.250 0.250 0.250
O1 O 0.005 0.250 0.250
```

Largest 8 diffraction maxima, in order of rising 2θ, 10° ≤ 2θ ≤ 80°:
2θ/deg	Rel. int.
19.01	35.6
31.30	100.0
36.88	20.1
44.85	32.4
49.12	8.8
55.70	39.3
65.29	19.5
74.19	17.0

[3]
Calculated powder diffraction line list
Compound: Ba2CaY2Fe4O10
Radiation: Cu Kα X-rays
Structure: a DFT-relaxed cell (PBE+U, the Materials Project)
Intensities are scaled so that the largest is 100.

Structure:
```
data_Ba2CaY2Fe4O10
_chemical_formula_sum 'Ba2 Ca1 Y2 Fe4 O10'
_symmetry_space_group_name_H-M 'P m m 2'
_symmetry_Int_Tables_number 25
_cell_length_a 3.844
_cell_length_b 8.150
_cell_length_c 9.903
_cell_angle_alpha 90.00
_cell_angle_beta 90.00
_cell_angle_gamma 90.00
loop_
_symmetry_equiv_pos_as_xyz
'x,y,z'
'-x,-y,z'
'-x,y,z'
'x,-y,z'
loop_
_atom_site_label
_atom_site_type_symbol
_atom_site_fract_x
_atom_site_fract_y
_atom_site_fract_z
Ba1 Ba 0.000 0.236 0.000
Ca1 Ca 0.000 0.500 0.282
Y1 Y 0.000 0.224 0.606
Fe1 Fe 0.500 0.000 0.419
Fe2 Fe 0.500 0.000 0.801
Fe3 Fe 0.500 0.500 0.504
Fe4 Fe 0.500 0.500 0.798
O1 O 0.000 0.000 0.467
O2 O 0.000 0.000 0.752
O3 O 0.000 0.500 0.531
O4 O 0.000 0.500 0.857
O5 O 0.500 0.000 0.010
O6 O 0.500 0.255 0.455
O7 O 0.500 0.260 0.746
O8 O 0.500 0.500 0.162
```

Largest 8 diffraction maxima, in order of rising 2θ, 10° ≤ 2θ ≤ 80°:
2θ/deg	Rel. int.
17.91	55.6
28.37	87.9
29.41	63.2
32.01	96.1
34.98	76.7
35.86	100.0
36.92	59.7
56.98	49.5

[4]
Calculated powder diffraction line list
Compound: Ba2CaY2Fe4O10
Radiation: Cu Kα X-rays
Structure: a DFT-relaxed cell (PBE+U, the Materials Project)
Intensities are scaled so that the largest is 100.

Structure:
```
data_Ba2CaY2Fe4O10
_chemical_formula_sum 'Ba2 Ca1 Y2 Fe4 O10'
_symmetry_space_group_name_H-M 'P 1 m 1'
_symmetry_Int_Tables_number 6
_cell_length_a 8.063
_cell_length_b 3.778
_cell_length_c 9.590
_cell_angle_alpha 90.00
_cell_angle_beta 90.87
_cell_angle_gamma 90.00
loop_
_symmetry_equiv_pos_as_xyz
'x,y,z'
'x,-y,z'
loop_
_atom_site_label
_atom_site_type_symbol
_atom_site_fract_x
_atom_site_fract_y
_atom_site_fract_z
Ba1 Ba 0.000 0.000 0.000
Ba2 Ba 0.485 0.000 0.859
Ca1 Ca 0.937 0.000 0.671
Y1 Y 0.460 0.000 0.419
Y2 Y 0.993 0.000 0.354
Fe1 Fe 0.226 0.500 0.582
Fe2 Fe 0.307 0.500 0.161
Fe3 Fe 0.685 0.500 0.156
Fe4 Fe 0.714 0.500 0.574
O1 O 0.212 0.000 0.545
O2 O 0.238 0.000 0.237
O3 O 0.261 0.500 0.958
O4 O 0.469 0.500 0.618
O5 O 0.503 0.500 0.304
O6 O 0.675 0.000 0.081
O7 O 0.733 0.000 0.489
O8 O 0.828 0.500 0.779
O9 O 0.937 0.500 0.206
O10 O 0.986 0.500 0.508
```

Largest 8 diffraction maxima, in order of rising 2θ, 10° ≤ 2θ ≤ 80°:
2θ/deg	Rel. int.
28.71	53.4
30.12	79.8
30.24	33.7
32.48	100.0
38.42	28.3
38.67	42.5
48.18	37.6
50.20	30.9

[5]
Calculated powder diffraction line list
Compound: Ba2Ca2Zn5Fe3O14
Radiation: Cu Kα X-rays
Structure: a DFT-relaxed cell (PBE+U, the Materials Project)
Intensities are scaled so that the largest is 100.

Structure:
```
data_Ba2Ca2Zn5Fe3O14
_chemical_formula_sum 'Ba4 Ca4 Zn10 Fe6 O28'
_symmetry_space_group_name_H-M 'P 1 21 1'
_symmetry_Int_Tables_number 4
_cell_length_a 8.732
_cell_length_b 7.407
_cell_length_c 12.752
_cell_angle_alpha 90.00
_cell_angle_beta 91.73
_cell_angle_gamma 90.00
loop_
_symmetry_equiv_pos_as_xyz
'x,y,z'
'-x,y+1/2,-z'
loop_
_atom_site_label
_atom_site_type_symbol
_atom_site_fract_x
_atom_site_fract_y
_atom_site_fract_z
Ba1 Ba 0.072 0.000 0.247
Ba2 Ba 0.381 0.633 0.179
Ca1 Ca 0.004 0.518 0.441
Ca2 Ca 0.431 0.655 0.788
Zn1 Zn 0.019 0.950 0.795
Zn2 Zn 0.251 0.415 0.915
Zn3 Zn 0.302 0.282 0.403
Zn4 Zn 0.365 0.040 0.040
Zn5 Zn 0.382 0.765 0.468
Fe1 Fe 0.001 0.190 0.987
Fe2 Fe 0.251 0.394 0.620
Fe3 Fe 0.349 0.016 0.615
O1 O 0.029 0.444 0.959
O2 O 0.052 0.323 0.581
O3 O 0.076 0.746 0.883
O4 O 0.094 0.653 0.147
O5 O 0.131 0.344 0.315
O6 O 0.186 0.991 0.698
O7 O 0.221 0.160 0.955
O8 O 0.243 0.472 0.759
O9 O 0.273 0.546 0.498
O10 O 0.280 0.013 0.469
O11 O 0.362 0.973 0.183
O12 O 0.414 0.569 0.977
O13 O 0.446 0.249 0.627
O14 O 0.487 0.818 0.638
```

Largest 8 diffraction maxima, in order of rising 2θ, 10° ≤ 2θ ≤ 80°:
2θ/deg	Rel. int.
26.00	100.0
27.19	95.4
27.86	98.6
29.86	84.0
30.73	79.9
32.20	78.7
33.08	72.0
33.50	95.3

[6]
Calculated powder diffraction line list
Compound: BaCaV2Ni3H2O10
Radiation: Cu Kα X-rays
Structure: a DFT-relaxed cell (PBE+U, the Materials Project)
Intensities are scaled so that the largest is 100.

Structure:
```
data_BaCaV2Ni3H2O10
_chemical_formula_sum 'Ba2 Ca2 V4 Ni6 H4 O20'
_symmetry_space_group_name_H-M 'C 1 2/m 1'
_symmetry_Int_Tables_number 12
_cell_length_a 11.080
_cell_length_b 5.986
_cell_length_c 8.747
_cell_angle_alpha 90.00
_cell_angle_beta 121.15
_cell_angle_gamma 90.00
loop_
_symmetry_equiv_pos_as_xyz
'x,y,z'
'-x,-y,-z'
'-x,y,-z'
'x,-y,z'
'x+1/2,y+1/2,z'
'-x+1/2,-y+1/2,-z'
'-x+1/2,y+1/2,-z'
'x+1/2,-y+1/2,z'
loop_
_atom_site_label
_atom_site_type_symbol
_atom_site_fract_x
_atom_site_fract_y
_atom_site_fract_z
Ba1 Ba 0.000 0.000 0.000
Ca1 Ca 0.000 0.500 0.500
V1 V 0.084 0.500 0.842
Ni1 Ni 0.000 0.000 0.500
Ni2 Ni 0.250 0.250 0.500
H1 H 0.243 0.500 0.262
O1 O 0.017 0.263 0.294
O2 O 0.139 0.500 0.062
O3 O 0.198 0.000 0.602
O4 O 0.220 0.500 0.803
```

Largest 8 diffraction maxima, in order of rising 2θ, 10° ≤ 2θ ≤ 80°:
2θ/deg	Rel. int.
23.77	60.2
25.39	100.0
28.52	55.1
29.88	64.4
35.47	57.5
36.98	73.5
43.40	44.2
48.67	56.8

[7]
Calculated powder diffraction line list
Compound: BaCaV2Ni3H2O10
Radiation: Cu Kα X-rays
Structure: a DFT-relaxed cell (PBE+U, the Materials Project)
Intensities are scaled so that the largest is 100.

Structure:
```
data_BaCaV2Ni3H2O10
_chemical_formula_sum 'Ba1 Ca1 V2 Ni3 H2 O10'
_symmetry_space_group_name_H-M 'P 1'
_symmetry_Int_Tables_number 1
_cell_length_a 5.949
_cell_length_b 6.108
_cell_length_c 7.364
_cell_angle_alpha 76.06
_cell_angle_beta 87.73
_cell_angle_gamma 60.97
loop_
_symmetry_equiv_pos_as_xyz
'x,y,z'
loop_
_atom_site_label
_atom_site_type_symbol
_atom_site_fract_x
_atom_site_fract_y
_atom_site_fract_z
Ba1 Ba 0.000 0.000 0.000
Ca1 Ca 0.357 0.395 0.184
V1 V 0.607 0.797 0.299
V2 V 0.663 0.651 0.802
Ni1 Ni 0.149 0.720 0.560
Ni2 Ni 0.152 0.219 0.556
Ni3 Ni 0.658 0.213 0.568
H1 H 0.364 0.249 0.834
H2 H 0.891 0.241 0.287
O1 O 0.313 0.843 0.734
O2 O 0.333 0.340 0.700
O3 O 0.440 0.604 0.377
O4 O 0.464 0.033 0.076
O5 O 0.497 0.059 0.425
O6 O 0.687 0.462 0.043
O7 O 0.827 0.371 0.697
O8 O 0.849 0.824 0.747
O9 O 0.964 0.110 0.408
O10 O 0.966 0.612 0.334
```

Largest 8 diffraction maxima, in order of rising 2θ, 10° ≤ 2θ ≤ 80°:
2θ/deg	Rel. int.
28.12	100.0
29.12	84.2
30.09	58.7
33.78	80.2
34.02	76.0
34.71	67.9
35.48	46.8
39.89	50.0

[8]
Calculated powder diffraction line list
Compound: BaCaHfWO6
Radiation: Cu Kα X-rays
Structure: a DFT-relaxed cell (PBE+U, the Materials Project)
Intensities are scaled so that the largest is 100.

Structure:
```
data_BaCaHfWO6
_chemical_formula_sum 'Ba4 Ca4 Hf4 W4 O24'
_symmetry_space_group_name_H-M 'F -4 3 m'
_symmetry_Int_Tables_number 216
_symmetry_space_group_name_Hall 'F -4 2 3'
_cell_length_a 8.264
_cell_length_b 8.264
_cell_length_c 8.264
_cell_angle_alpha 90.00
_cell_angle_beta 90.00
_cell_angle_gamma 90.00
loop_
_atom_site_label
_atom_site_type_symbol
_atom_site_fract_x
_atom_site_fract_y
_atom_site_fract_z
Ba1 Ba 0.000 0.000 0.000
Ca1 Ca 0.000 0.000 0.500
Hf1 Hf 0.250 0.250 0.750
W1 W 0.250 0.250 0.250
O1 O 0.001 0.250 0.250
```

Largest 8 diffraction maxima, in order of rising 2θ, 10° ≤ 2θ ≤ 80°:
2θ/deg	Rel. int.
18.60	7.0
21.51	22.7
30.60	100.0
43.82	29.5
49.32	10.2
54.39	40.6
63.71	18.4
72.32	17.6